(1)
NbFeTe3: theoretical powder diffractogram (Cu Kα (weighted mean of Kα1 and Kα2)), based on a DFT-relaxed cell (PBE, Alexandria).
Peak positions follow from Bragg's law for the DFT cell and can differ from measured ones.

Principal peaks in the range 2θ from 10° to 90°, by angle:
13.8 deg, intensity 37, (0 4 0); 27.5 deg, intensity 34, (0 0 2); 27.9 deg, intensity 45, (0 7 1); 30.2 deg, intensity 100, (1 3 1); 34.7 deg, intensity 29, (0 6 2); 40.0 deg, intensity 38, (1 4 2); 43.2 deg, intensity 57, (1 10 0); 50.4 deg, intensity 31, (1 3 3)

Atomic structure:
```
data_NbFeTe3
_chemical_formula_sum 'Nb4 Fe4 Te12'
_space_group_name_H-M_alt 'A m a 2'
_space_group_IT_number 40
_cell_length_a 3.6039
_cell_length_b 25.7256
_cell_length_c 6.4823
_cell_angle_alpha 90.00
_cell_angle_beta 90.00
_cell_angle_gamma 90.00
loop_
_space_group_symop_operation_xyz
'x,y,z'
'-x,-y,z'
'-x+1/2,y,z'
'x+1/2,-y,z'
'x,y+1/2,z+1/2'
'-x,-y+1/2,z+1/2'
'-x+1/2,y+1/2,z+1/2'
'x+1/2,-y+1/2,z+1/2'
loop_
_atom_site_label
_atom_site_type_symbol
_atom_site_fract_x
_atom_site_fract_y
_atom_site_fract_z
_atom_site_occupancy
Nb1 Nb 0.2500 0.1736 0.0000 1
Fe1 Fe 0.2500 0.3600 0.8130 1
Te1 Te 0.2500 0.0767 0.1919 1
Te2 Te 0.2500 0.2644 0.7161 1
Te3 Te 0.2500 0.3690 0.2069 1
```

=====

(2)
LiPrSnPd3: theoretical powder diffractogram (Cu Kα (weighted mean of Kα1 and Kα2)), based on a DFT-relaxed cell (PBE, Alexandria).
Peak positions follow from Bragg's law for the DFT cell and can differ from measured ones.

Principal peaks in the range 2θ from 10° to 90°, by angle:
30.8 deg, intensity 77, (0 2 2); 33.9 deg, intensity 59, (2 2 0); 39.9 deg, intensity 68, (0 4 2); 41.4 deg, intensity 100, (2 0 2); 42.5 deg, intensity 57, (2 4 0); 43.6 deg, intensity 27, (0 6 0); 56.1 deg, intensity 24, (0 0 4); 61.7 deg, intensity 39, (2 6 2)

Atomic structure:
```
data_LiPrSnPd3
_chemical_formula_sum 'Li4 Pr4 Sn4 Pd12'
_space_group_name_H-M_alt 'C m c m'
_space_group_IT_number 63
_space_group_name_Hall '-C 2c 2'
_cell_length_a 5.8329
_cell_length_b 12.4584
_cell_length_c 6.5552
_cell_angle_alpha 90.00
_cell_angle_beta 90.00
_cell_angle_gamma 90.00
loop_
_atom_site_label
_atom_site_type_symbol
_atom_site_fract_x
_atom_site_fract_y
_atom_site_fract_z
_atom_site_occupancy
Li1 Li 0.0000 0.0867 0.2500 1
Pr1 Pr 0.0000 0.3249 0.2500 1
Sn1 Sn 0.0000 0.3685 0.7500 1
Pd1 Pd 0.0000 0.1536 0.7500 1
Pd2 Pd 0.2503 0.0000 0.0000 1
```

=====

(3)
Li7Ag2: theoretical powder diffractogram (Cu Kα (weighted mean of Kα1 and Kα2)), based on a DFT-relaxed cell (PBE, Alexandria).
Peak positions follow from Bragg's law for the DFT cell and can differ from measured ones.

Principal peaks in the range 2θ from 10° to 90°, by angle:
12.6 deg, intensity 100, (0 0 1); 20.1 deg, intensity 26, (1 0 0); 23.8 deg, intensity 34, (1 0 1); 25.3 deg, intensity 19, (0 0 2); 32.5 deg, intensity 15, (1 0 2); 35.2 deg, intensity 25, (1 1 0); 37.5 deg, intensity 51, (1 1 1); 43.9 deg, intensity 33, (2 -1 2)

Atomic structure:
```
data_Li7Ag2
_chemical_formula_sum 'Li7 Ag2'
_space_group_name_H-M_alt 'P -3 1 m'
_space_group_IT_number 162
_space_group_name_Hall '-P 3 2'
_cell_length_a 5.0950
_cell_length_b 5.0950
_cell_length_c 7.0397
_cell_angle_alpha 90.00
_cell_angle_beta 90.00
_cell_angle_gamma 120.00
loop_
_atom_site_label
_atom_site_type_symbol
_atom_site_fract_x
_atom_site_fract_y
_atom_site_fract_z
_atom_site_occupancy
Li1 Li 0.0000 0.0000 0.0000 1
Li2 Li 0.0000 0.3415 0.6774 1
Ag1 Ag 0.3333 0.6667 0.0000 1
```

=====

(4)
Mg4Zn5Au6: theoretical powder diffractogram (Cu Kα (weighted mean of Kα1 and Kα2)), based on a DFT-relaxed cell (PBE, Alexandria).
Peak positions follow from Bragg's law for the DFT cell and can differ from measured ones.

Principal peaks in the range 2θ from 10° to 90°, by angle:
21.1 deg, intensity 61, (0 4 2); 24.0 deg, intensity 45, (1 1 0); 27.6 deg, intensity 89, (1 3 1); 30.9 deg, intensity 56, (1 1 3); 37.4 deg, intensity 95, (1 5 3); 41.3 deg, intensity 41, (1 5 4); 43.0 deg, intensity 100, (1 7 3); 48.2 deg, intensity 53, (2 0 0)

Atomic structure:
```
data_Mg4Zn5Au6
_chemical_formula_sum 'Mg16 Zn20 Au24'
_space_group_name_H-M_alt 'C m c 21'
_space_group_IT_number 36
_cell_length_a 3.7725
_cell_length_b 21.2305
_cell_length_c 13.8194
_cell_angle_alpha 90.00
_cell_angle_beta 90.00
_cell_angle_gamma 90.00
loop_
_space_group_symop_operation_xyz
'x,y,z'
'-x,-y,z+1/2'
'-x,y,z'
'x,-y,z+1/2'
'x+1/2,y+1/2,z'
'-x+1/2,-y+1/2,z+1/2'
'-x+1/2,y+1/2,z'
'x+1/2,-y+1/2,z+1/2'
loop_
_atom_site_label
_atom_site_type_symbol
_atom_site_fract_x
_atom_site_fract_y
_atom_site_fract_z
_atom_site_occupancy
Mg1 Mg 0.0000 0.0223 0.0000 1
Mg2 Mg 0.0000 0.0490 0.2708 1
Mg3 Mg 0.0000 0.1363 0.7754 1
Mg4 Mg 0.0000 0.1776 0.4278 1
Zn1 Zn 0.0000 0.1804 0.1161 1
Zn2 Zn 0.0000 0.3085 0.0953 1
Zn3 Zn 0.0000 0.3291 0.7679 1
Zn4 Zn 0.0000 0.3541 0.4548 1
Zn5 Zn 0.0000 0.4663 0.1586 1
Au1 Au 0.0000 0.1015 0.5831 1
Au2 Au 0.0000 0.2299 0.9390 1
Au3 Au 0.0000 0.2621 0.2697 1
Au4 Au 0.0000 0.4125 0.6236 1
Au5 Au 0.0000 0.4184 0.9154 1
Au6 Au 0.0000 0.4545 0.3478 1
```

=====

(5)
AcZnH2F8: theoretical powder diffractogram (Cu Kα (weighted mean of Kα1 and Kα2)), based on a DFT-relaxed cell (PBE, Alexandria).
Peak positions follow from Bragg's law for the DFT cell and can differ from measured ones.

Principal peaks in the range 2θ from 10° to 90°, by angle:
10.8 deg, intensity 82, (0 0 1); 21.7 deg, intensity 100, (0 0 2); 21.9 deg, intensity 78, (0 1 0); 22.2 deg, intensity 72, (1 0 0); 23.2 deg, intensity 94, (1 1 0); 31.2 deg, intensity 73, (0 1 -2); 44.2 deg, intensity 65, (1 -1 2); 46.0 deg, intensity 42, (1 2 -2)

Atomic structure:
```
data_AcZnH2F8
_chemical_formula_sum 'Ac1 Zn1 H2 F8'
_space_group_name_H-M_alt 'P -1'
_space_group_IT_number 2
_cell_length_a 4.4763
_cell_length_b 4.5405
_cell_length_c 8.1754
_cell_angle_alpha 89.31
_cell_angle_beta 89.38
_cell_angle_gamma 63.39
loop_
_space_group_symop_operation_xyz
'x,y,z'
'-x,-y,-z'
loop_
_atom_site_label
_atom_site_type_symbol
_atom_site_fract_x
_atom_site_fract_y
_atom_site_fract_z
_atom_site_occupancy
Ac1 Ac 0.0000 0.0000 0.0000 1
Zn1 Zn 0.0000 0.0000 0.5000 1
H1 H 0.4977 0.4978 0.7095 1
F1 F 0.2405 0.7201 0.7128 1
F2 F 0.2443 0.7262 0.2876 1
F3 F 0.2972 0.2138 0.5003 1
F4 F 0.3323 0.3223 0.0046 1
```

=====

(6)
LaDy4Ho5: theoretical powder diffractogram (Cu Kα (weighted mean of Kα1 and Kα2)), based on a DFT-relaxed cell (PBE, Alexandria).
Peak positions follow from Bragg's law for the DFT cell and can differ from measured ones.

Principal peaks in the range 2θ from 10° to 90°, by angle:
30.3 deg, intensity 57, (1 -1 2); 30.7 deg, intensity 46, (1 0 2); 31.5 deg, intensity 100, (0 2 2); 31.7 deg, intensity 65, (-1 1 3); 31.9 deg, intensity 95, (0 2 -3); 32.2 deg, intensity 95, (0 0 5); 32.3 deg, intensity 60, (1 1 -1); 33.1 deg, intensity 26, (1 -2 0)

Atomic structure:
```
data_LaDy4Ho5
_chemical_formula_sum 'La1 Dy4 Ho5'
_space_group_name_H-M_alt 'P -1'
_space_group_IT_number 2
_cell_length_a 3.5179
_cell_length_b 6.7507
_cell_length_c 14.0632
_cell_angle_alpha 94.36
_cell_angle_beta 95.80
_cell_angle_gamma 103.72
loop_
_space_group_symop_operation_xyz
'x,y,z'
'-x,-y,-z'
loop_
_atom_site_label
_atom_site_type_symbol
_atom_site_fract_x
_atom_site_fract_y
_atom_site_fract_z
_atom_site_occupancy
La1 La 0.0000 0.0000 0.0000 1
Dy1 Dy 0.1919 0.6791 0.8017 1
Dy2 Dy 0.4797 0.2030 0.7843 1
Ho1 Ho 0.0119 0.6089 0.4036 1
Ho2 Ho 0.2880 0.1350 0.3994 1
Ho3 Ho 0.5000 0.5000 0.0000 1
```

=====

(7)
Ca2AlH2OF7: theoretical powder diffractogram (Cu Kα (weighted mean of Kα1 and Kα2)), based on a DFT-relaxed cell (PBE, Alexandria).
Peak positions follow from Bragg's law for the DFT cell and can differ from measured ones.

Principal peaks in the range 2θ from 10° to 90°, by angle:
19.3 deg, intensity 55, (1 1 0); 23.9 deg, intensity 49, (1 1 -1); 25.4 deg, intensity 100, (1 -1 0); 31.0 deg, intensity 23, (0 1 3); 39.3 deg, intensity 33, (2 2 0); 39.9 deg, intensity 30, (0 0 4); 48.9 deg, intensity 27, (2 2 -2); 49.5 deg, intensity 29, (0 3 2)

Atomic structure:
```
data_Ca2AlH2OF7
_chemical_formula_sum 'Ca4 Al2 H4 O2 F14'
_space_group_name_H-M_alt 'P -1'
_space_group_IT_number 2
_cell_length_a 5.8730
_cell_length_b 5.9390
_cell_length_c 9.3624
_cell_angle_alpha 76.95
_cell_angle_beta 79.17
_cell_angle_gamma 73.03
loop_
_space_group_symop_operation_xyz
'x,y,z'
'-x,-y,-z'
loop_
_atom_site_label
_atom_site_type_symbol
_atom_site_fract_x
_atom_site_fract_y
_atom_site_fract_z
_atom_site_occupancy
Ca1 Ca 0.0863 0.0855 0.1415 1
Ca2 Ca 0.3437 0.3424 0.7010 1
Al1 Al 0.0000 0.0000 0.5000 1
Al2 Al 0.5000 0.5000 0.0000 1
H1 H 0.2856 0.3679 0.3699 1
H2 H 0.4591 0.7926 0.6042 1
O1 O 0.4267 0.3591 0.4153 1
F1 F 0.0443 0.6907 0.6062 1
F2 F 0.1321 0.1557 0.8927 1
F3 F 0.1816 0.0502 0.6231 1
F4 F 0.2582 0.6139 0.8793 1
F5 F 0.2674 0.9119 0.3676 1
F6 F 0.3202 0.3290 0.1317 1
F7 F 0.3925 0.7450 0.1079 1
```

=====

(8)
Tb7NdIn4: theoretical powder diffractogram (Cu Kα (weighted mean of Kα1 and Kα2)), based on a DFT-relaxed cell (PBE, Alexandria).
Peak positions follow from Bragg's law for the DFT cell and can differ from measured ones.

Principal peaks in the range 2θ from 10° to 90°, by angle:
28.3 deg, intensity 55, (4 0 -3); 29.7 deg, intensity 74, (1 1 2); 30.3 deg, intensity 44, (3 1 -3); 31.4 deg, intensity 100, (0 2 0); 33.2 deg, intensity 44, (3 1 1); 36.1 deg, intensity 25, (5 1 -3); 36.3 deg, intensity 57, (5 1 -1); 42.8 deg, intensity 37, (4 2 -3)

Atomic structure:
```
data_Tb7NdIn4
_chemical_formula_sum 'Tb14 Nd2 In8'
_space_group_name_H-M_alt 'C 1 2/m 1'
_space_group_IT_number 12
_cell_length_a 14.5259
_cell_length_b 5.6927
_cell_length_c 10.5728
_cell_angle_alpha 90.00
_cell_angle_beta 123.79
_cell_angle_gamma 90.00
loop_
_space_group_symop_operation_xyz
'x,y,z'
'-x,-y,-z'
'-x,y,-z'
'x,-y,z'
'x+1/2,y+1/2,z'
'-x+1/2,-y+1/2,-z'
'-x+1/2,y+1/2,-z'
'x+1/2,-y+1/2,z'
loop_
_atom_site_label
_atom_site_type_symbol
_atom_site_fract_x
_atom_site_fract_y
_atom_site_fract_z
_atom_site_occupancy
Tb1 Tb 0.0000 0.0000 0.0000 1
Tb2 Tb 0.0633 0.5000 0.3950 1
Tb3 Tb 0.2098 0.5000 0.8768 1
Tb4 Tb 0.2166 0.0000 0.6554 1
Nd1 Nd 0.0000 0.5000 0.0000 1
In1 In 0.0604 0.0000 0.7587 1
In2 In 0.1819 0.0000 0.3329 1
```

=====

- What is the formula in the first record?
  NbFeTe3